[1]
For V2Cu2O7, a structure optimized by DFT (GGA+U) gives the simulated XRD peak list in this record (copper Kα).

Main lines, in order of rising 2θ (2θ = 10–90°):
2θ 25.31, rel. 100.0
2θ 28.65, rel. 74.3
2θ 28.75, rel. 46.9
2θ 34.03, rel. 14.5
2θ 35.27, rel. 17.2
2θ 40.93, rel. 13.7
2θ 42.75, rel. 24.7
2θ 52.01, rel. 12.6
2θ 56.54, rel. 23.0
2θ 64.32, rel. 11.7

Crystal structure
a b c (Å): 5.5516 5.5516 10.1398
angles (deg): 102.97 102.97 95.50
Fractional coordinates of all 22 atoms:
V 0.0019 0.4984 0.2051
V 0.4984 0.0019 0.7051
V 0.5016 0.9981 0.2949
V 0.9981 0.5016 0.7949
Cu 0.1972 0.3390 0.5050
Cu 0.3390 0.1972 0.0050
Cu 0.6610 0.8028 0.9950
Cu 0.8028 0.6610 0.4950
O 0.0437 0.5515 0.6343
O 0.1006 0.2485 0.1146
O 0.2441 0.7559 0.2500
O 0.2485 0.1006 0.6146
O 0.2584 0.4355 0.8980
O 0.4355 0.2584 0.3980
O 0.4485 0.9563 0.8657
O 0.5515 0.0437 0.1343
O 0.5645 0.7416 0.6020
O 0.7416 0.5645 0.1020
O 0.7515 0.8994 0.3854
O 0.7559 0.2441 0.7500
O 0.8994 0.7515 0.8854
O 0.9563 0.4485 0.3657

***

[2]
For V2Cu2O7, a structure optimized by DFT (GGA+U) gives the simulated XRD peak list in this record (copper Kα).

Main lines, in order of rising 2θ (2θ = 10–90°):
2θ 15.37, rel. 21.7
2θ 22.24, rel. 18.5
2θ 24.79, rel. 16.3
2θ 26.87, rel. 42.6
2θ 28.06, rel. 100.0
2θ 28.96, rel. 61.3
2θ 29.18, rel. 59.8
2θ 33.46, rel. 28.2
2θ 35.62, rel. 23.7
2θ 38.73, rel. 18.1

Crystal structure
a b c (Å): 5.1409 5.9126 9.5141
angles (deg): 99.75 97.58 96.96
Fractional coordinates of all 22 atoms:
V 0.1633 0.1719 0.2183
V 0.2868 0.2324 0.6972
V 0.7132 0.7676 0.3028
V 0.8367 0.8281 0.7817
Cu 0.2675 0.6539 0.5150
Cu 0.2799 0.6481 0.0058
Cu 0.7201 0.3519 0.9942
Cu 0.7325 0.3461 0.4850
O 0.0456 0.3717 0.1194
O 0.0870 0.3956 0.6023
O 0.1039 0.9464 0.6895
O 0.2644 0.9529 0.1085
O 0.3860 0.3771 0.8793
O 0.4160 0.3245 0.3500
O 0.4451 0.8132 0.3834
O 0.5549 0.1868 0.6166
O 0.5840 0.6755 0.6500
O 0.6140 0.6229 0.1207
O 0.7356 0.0471 0.8915
O 0.8961 0.0536 0.3105
O 0.9130 0.6044 0.3977
O 0.9544 0.6283 0.8806

***

What did the first record say?
For V2Cu2O7, a structure optimized by DFT (GGA+U) gives the simulated XRD peak list in this record (copper Kα).

Main lines, in order of rising 2θ (2θ = 10–90°):
2θ 25.31, rel. 100.0
2θ 28.65, rel. 74.3
2θ 28.75, rel. 46.9
2θ 34.03, rel. 14.5
2θ 35.27, rel. 17.2
2θ 40.93, rel. 13.7
2θ 42.75, rel. 24.7
2θ 52.01, rel. 12.6
2θ 56.54, rel. 23.0
2θ 64.32, rel. 11.7

Crystal structure
a b c (Å): 5.5516 5.5516 10.1398
angles (deg): 102.97 102.97 95.50
Fractional coordinates of all 22 atoms:
V 0.0019 0.4984 0.2051
V 0.4984 0.0019 0.7051
V 0.5016 0.9981 0.2949
V 0.9981 0.5016 0.7949
Cu 0.1972 0.3390 0.5050
Cu 0.3390 0.1972 0.0050
Cu 0.6610 0.8028 0.9950
Cu 0.8028 0.6610 0.4950
O 0.0437 0.5515 0.6343
O 0.1006 0.2485 0.1146
O 0.2441 0.7559 0.2500
O 0.2485 0.1006 0.6146
O 0.2584 0.4355 0.8980
O 0.4355 0.2584 0.3980
O 0.4485 0.9563 0.8657
O 0.5515 0.0437 0.1343
O 0.5645 0.7416 0.6020
O 0.7416 0.5645 0.1020
O 0.7515 0.8994 0.3854
O 0.7559 0.2441 0.7500
O 0.8994 0.7515 0.8854
O 0.9563 0.4485 0.3657